# Ac3Er13
Computed X-ray powder pattern, Cu Kα (λ = 1.5418 Å). Input: a PBE-relaxed structure.

Main lines, by angle (10° ≤ 2θ ≤ 80°):
two_theta  Rel. int.
28.07  22
28.23  13
31.25  35
32.21  100
32.35  47
42.50  15
49.58  10
49.87  20
56.25  30
59.78  11
60.04  22
60.45  16

Cell and atoms:
```
16
Lattice="7.3543 0.0000 0.0000 0.0000 5.7247 6.3231 0.0000 -5.7247 6.3231" Properties=species:S:1:pos:R:3 pbc="T T T"
Ac 0.0000 0.0000 0.0000
Ac 1.8600 0.0000 9.3873
Ac 5.4944 0.0000 9.3873
Er 0.0000 -2.9068 8.4192
Er 0.0000 0.0000 6.1963
Er 0.0000 2.9068 8.4192
Er 1.8491 0.0000 3.1623
Er 1.8600 -2.7756 5.2435
Er 1.8600 2.7756 5.2435
Er 3.6772 0.0000 12.6431
Er 3.6772 -2.9816 8.3844
Er 3.6772 0.0000 6.1979
Er 3.6772 2.9816 8.3844
Er 5.4943 -2.7756 5.2435
Er 5.4943 2.7756 5.2435
Er 5.5053 0.0000 3.1623
```

# AcEuErLu
Computed X-ray powder pattern, Cu Kα (λ = 1.5418 Å). Input: a PBE-relaxed structure.

Main lines, by angle (10° ≤ 2θ ≤ 80°):
two_theta  Rel. int.
18.48  1
21.37  1
30.40  100
35.80  1
43.52  19
48.97  1
54.01  41
63.24  13
71.77  17
79.90  4

Cell and atoms:
```
4
Lattice="0.0000 4.1589 4.1589 4.1589 0.0000 4.1589 4.1589 4.1589 0.0000" Properties=species:S:1:pos:R:3 pbc="T T T"
Ac 0.0000 0.0000 0.0000
Eu 2.0794 2.0794 2.0794
Er 6.2383 6.2383 6.2383
Lu 4.1589 4.1589 4.1589
```

# AcErFe
Computed X-ray powder pattern, Cu Kα (λ = 1.5418 Å). Input: a PBE-relaxed structure.

Main lines, by angle (10° ≤ 2θ ≤ 80°):
two_theta  Rel. int.
27.06  52
27.66  38
27.93  92
28.76  100
30.21  69
31.21  58
34.27  33
34.95  44
37.72  28
39.09  55
51.21  43
53.26  34

Cell and atoms:
```
12
Lattice="3.5425 -6.4466 0.0000 3.5425 6.4466 0.0000 0.0000 0.0000 7.4518" Properties=species:S:1:pos:R:3 pbc="T T T"
Ac 3.5425 3.8992 6.6094
Ac 3.5425 2.5474 2.8835
Ac 3.5425 -2.5474 4.5683
Ac 3.5425 -3.8992 0.8424
Er 1.7713 0.4785 5.5889
Er 1.7713 -0.4785 1.8630
Er 5.3138 0.4785 5.5889
Er 5.3138 -0.4785 1.8630
Fe 3.5425 5.3616 4.0176
Fe 3.5425 1.0851 0.2917
Fe 3.5425 -1.0851 7.1601
Fe 3.5425 -5.3616 3.4342
```

# AcErGa4
Computed X-ray powder pattern, Cu Kα (λ = 1.5418 Å). Input: a PBE-relaxed structure.

Main lines, by angle (10° ≤ 2θ ≤ 80°):
two_theta  Rel. int.
22.24  26
28.45  34
30.14  100
30.28  53
32.21  49
34.21  62
35.69  24
36.80  16
40.83  42
41.32  20
51.74  16
54.21  17

Cell and atoms:
```
24
Lattice="8.2611 0.0000 0.0000 0.0000 15.8573 0.0000 0.0000 0.0000 4.4207" Properties=species:S:1:pos:R:3 pbc="T T T"
Ac 1.0920 2.3468 0.0000
Ac 3.0386 10.2755 0.0000
Ac 5.2226 5.5819 0.0000
Ac 7.1692 13.5105 0.0000
Er 1.0753 6.5872 0.0000
Er 3.0552 14.5159 0.0000
Er 5.2059 1.3414 0.0000
Er 7.1858 9.2701 0.0000
Ga 0.0993 11.0752 2.2104
Ga 0.9718 8.7377 2.2104
Ga 1.0698 15.3291 2.2104
Ga 1.6940 12.8930 2.2104
Ga 2.4366 4.9643 2.2104
Ga 3.0608 7.4004 2.2104
Ga 3.1587 0.8091 2.2104
Ga 4.0313 3.1466 2.2104
Ga 4.2298 12.7107 2.2104
Ga 5.1024 15.0482 2.2104
Ga 5.2004 8.4569 2.2104
Ga 5.8246 10.8930 2.2104
Ga 6.5671 2.9643 2.2104
Ga 7.1913 0.5283 2.2104
Ga 7.2893 7.1196 2.2104
Ga 8.1619 4.7821 2.2104
```

# Ac3ErGe6
Computed X-ray powder pattern, Cu Kα (λ = 1.5418 Å). Input: a PBE-relaxed structure.

Main lines, by angle (10° ≤ 2θ ≤ 80°):
two_theta  Rel. int.
16.97  17
26.58  49
28.83  17
30.97  100
33.64  79
34.34  64
43.94  16
44.90  28
49.72  37
53.33  22
61.83  12
65.04  14

Cell and atoms:
```
20
Lattice="6.1937 3.5759 3.9870 -6.1937 3.5759 3.9870 0.0000 -7.1519 3.9870" Properties=species:S:1:pos:R:3 pbc="T T T"
Ac -3.5068 1.0780 4.9837
Ac -2.6870 -2.4979 6.9772
Ac 0.8198 -3.5760 4.9837
Ac -0.8198 3.5759 6.9772
Ac 2.6870 2.4979 4.9837
Ac 3.5067 -1.0780 6.9772
Er 0.0000 0.0000 0.0000
Er 0.0000 0.0000 5.9805
Ge -0.4560 -2.3130 1.9404
Ge -1.7751 1.5515 1.9404
Ge -1.7751 -1.5514 4.0401
Ge 2.2312 0.7616 1.9404
Ge -0.4560 2.3130 4.0401
Ge 2.2312 -0.7616 4.0401
Ge -2.2312 0.7616 7.9209
Ge 0.4560 -2.3130 7.9209
Ge -2.2312 -0.7616 10.0206
Ge 1.7751 1.5514 7.9209
Ge 1.7751 -1.5514 10.0206
Ge 0.4560 2.3130 10.0206
```

# Ac4ErGe5
Computed X-ray powder pattern, Cu Kα (λ = 1.5418 Å). Input: a PBE-relaxed structure.

Main lines, by angle (10° ≤ 2θ ≤ 80°):
two_theta  Rel. int.
24.25  43
28.07  100
40.12  76
47.43  24
49.68  27
57.98  8
58.12  5
63.82  11
65.64  22
65.76  12
72.89  24
78.07  7

Cell and atoms:
```
10
Lattice="-5.0297 5.0297 3.1742 5.0297 -5.0297 3.1742 5.0297 5.0297 -3.1742" Properties=species:S:1:pos:R:3 pbc="T T T"
Ac 7.0301 0.9281 0.0000
Ac 0.9281 3.0293 0.0000
Ac 4.1017 2.0004 3.1742
Ac -2.0004 4.1017 3.1742
Er 0.0000 0.0000 3.1810
Ge 0.0000 0.0000 0.0188
Ge 4.0774 2.2634 0.0003
Ge 2.7663 -0.9523 3.1744
Ge 2.2634 5.9820 0.0003
Ge 0.9523 2.7663 3.1744
```

# Ac2ErGe3Pd4
Computed X-ray powder pattern, Cu Kα (λ = 1.5418 Å). Input: a PBE-relaxed structure.

Main lines, by angle (10° ≤ 2θ ≤ 80°):
two_theta  Rel. int.
21.61  10
28.57  10
31.31  43
32.80  100
37.96  12
40.84  49
45.28  20
52.35  21
57.38  10
59.14  17
62.61  15
69.29  23

Cell and atoms:
```
10
Lattice="4.4188 0.0000 0.0000 0.0000 4.4188 0.0000 0.0000 0.0000 11.2326" Properties=species:S:1:pos:R:3 pbc="T T T"
Ac 0.0000 2.2094 2.5774
Ac 2.2094 0.0000 8.6552
Er 0.0000 0.0000 5.6163
Ge 0.0000 2.2094 9.9046
Ge 2.2094 0.0000 1.3280
Ge 2.2094 2.2094 5.6163
Pd 0.0000 0.0000 0.0000
Pd 0.0000 2.2094 7.3403
Pd 2.2094 0.0000 3.8923
Pd 2.2094 2.2094 0.0000
```

# AcErH6Rh2
Computed X-ray powder pattern, Cu Kα (λ = 1.5418 Å). Input: a PBE-relaxed structure.

Main lines, by angle (10° ≤ 2θ ≤ 80°):
two_theta  Rel. int.
23.73  24
29.64  100
30.55  14
33.44  18
37.57  72
46.84  12
48.57  26
49.18  24
56.96  18
62.98  24
67.81  13
70.26  9

Cell and atoms:
```
10
Lattice="2.3937 1.3820 5.8519 -2.3937 1.3820 5.8519 0.0000 -2.7640 5.8519" Properties=species:S:1:pos:R:3 pbc="T T T"
Ac 0.0000 0.0000 0.0000
Er 0.0000 0.0000 8.7778
H -1.2020 -0.6940 6.9978
H 0.0000 -1.3879 10.5578
H -1.2020 0.6940 10.5578
H 1.2020 -0.6940 6.9978
H 0.0000 1.3879 6.9978
H 1.2020 0.6940 10.5578
Rh 0.0000 0.0000 3.7316
Rh 0.0000 0.0000 13.8241
```

# Ac2ErHg5
Computed X-ray powder pattern, Cu Kα (λ = 1.5418 Å). Input: a PBE-relaxed structure.

Main lines, by angle (10° ≤ 2θ ≤ 80°):
two_theta  Rel. int.
25.98  2
33.02  100
42.40  2
47.23  4
47.47  13
48.89  2
58.86  9
59.02  25
69.20  6
69.39  5
78.64  2
79.03  12

Cell and atoms:
```
8
Lattice="-2.7087 2.7087 7.6982 2.7087 -2.7087 7.6982 2.7087 2.7087 -7.6982" Properties=species:S:1:pos:R:3 pbc="T T T"
Ac 0.0000 0.0000 3.6398
Ac 0.0000 0.0000 11.7567
Er 0.0000 0.0000 7.6982
Hg 0.0000 0.0000 0.0000
Hg 2.7087 0.0000 1.6877
Hg 2.7087 0.0000 6.0105
Hg 0.0000 2.7087 1.6877
Hg 0.0000 2.7087 6.0105
```

# Ac2ErHg10
Computed X-ray powder pattern, Cu Kα (λ = 1.5418 Å). Input: a PBE-relaxed structure.

Main lines, by angle (10° ≤ 2θ ≤ 80°):
two_theta  Rel. int.
15.10  44
20.16  19
21.74  20
31.94  36
33.26  26
34.63  21
35.28  100
36.07  22
36.44  33
37.64  31
60.36  17
63.36  22

Cell and atoms:
```
26
Lattice="11.0006 0.0000 0.0000 0.0000 13.3265 0.0000 0.0000 0.0000 5.8677" Properties=species:S:1:pos:R:3 pbc="T T T"
Ac 1.4410 2.2741 0.0000
Ac 4.0593 8.9373 0.0000
Ac 6.9413 4.3892 0.0000
Ac 9.5597 11.0524 0.0000
Er 0.0000 6.6633 2.9339
Er 5.5003 0.0000 2.9339
Hg 0.3391 11.7989 2.9339
Hg 0.9869 9.1464 1.4299
Hg 0.9869 9.1464 4.4379
Hg 2.0808 4.2468 2.9339
Hg 2.5123 0.5091 2.9339
Hg 2.9880 7.1723 2.9339
Hg 3.4195 10.9101 2.9339
Hg 4.5134 2.4831 1.4299
Hg 4.5134 2.4831 4.4379
Hg 5.1612 5.1357 2.9339
Hg 5.8394 8.1908 2.9339
Hg 6.4872 10.8434 1.4299
Hg 6.4872 10.8434 4.4379
Hg 7.5811 2.4164 2.9339
Hg 8.0126 6.1542 2.9339
Hg 8.4883 12.8174 2.9339
Hg 8.9199 9.0797 2.9339
Hg 10.0138 4.1801 1.4299
Hg 10.0138 4.1801 4.4379
Hg 10.6616 1.5276 2.9339
```

# Ac2ErHg8
Computed X-ray powder pattern, Cu Kα (λ = 1.5418 Å). Input: a PBE-relaxed structure.

Main lines, by angle (10° ≤ 2θ ≤ 80°):
two_theta  Rel. int.
27.85  16
32.44  62
33.01  100
33.71  52
34.17  20
35.74  29
37.37  19
42.41  14
51.20  16
55.23  13
59.49  11
59.84  22

Cell and atoms:
```
11
Lattice="8.0935 -2.6589 0.0000 8.0935 2.6589 0.0000 -2.7126 0.0000 6.9729" Properties=species:S:1:pos:R:3 pbc="T T T"
Ac 2.8881 0.0000 1.1223
Ac 10.5862 0.0000 5.8506
Er 6.7372 0.0000 3.4865
Hg -0.4935 0.0000 1.6536
Hg 0.7435 0.0000 4.4981
Hg 3.8734 0.0000 4.3309
Hg 6.5111 0.0000 0.4375
Hg 6.9633 0.0000 6.5354
Hg 9.6010 0.0000 2.6420
Hg 12.7308 0.0000 2.4748
Hg 13.9679 0.0000 5.3193
```

# AcNdEr2Hg4
Computed X-ray powder pattern, Cu Kα (λ = 1.5418 Å). Input: a PBE-relaxed structure.

Main lines, by angle (10° ≤ 2θ ≤ 80°):
two_theta  Rel. int.
25.26  3
32.82  100
33.27  99
47.43  36
48.07  2
58.30  18
59.16  38
59.45  19
68.80  11
69.86  12
78.60  15
79.35  17

Cell and atoms:
```
8
Lattice="2.6930 1.5548 8.9736 -2.6930 1.5548 8.9736 0.0000 -3.1096 8.9736" Properties=species:S:1:pos:R:3 pbc="T T T"
Ac 0.0000 0.0000 0.0000
Nd 0.0000 0.0000 13.4603
Er 0.0000 0.0000 6.6449
Er 0.0000 0.0000 20.2758
Hg 0.0000 0.0000 3.4256
Hg 0.0000 0.0000 10.2466
Hg 0.0000 0.0000 16.6741
Hg 0.0000 0.0000 23.4951
```